Record 1
Structure and computed powder diffraction line list of Na2TbWO6 (DFT lattice parameters and positions (GGA+U); Cu Kα, 1.54184 Å).
No peak broadening, texture or thermal motion is included.

```
data_Na2TbWO6
_symmetry_space_group_name_H-M 'F m -3 m'
_symmetry_Int_Tables_number 225
_symmetry_space_group_name_Hall '-F 4 2 3'
_cell_length_a 8.3704
_cell_length_b 8.3704
_cell_length_c 8.3704
_cell_angle_alpha 90.00
_cell_angle_beta 90.00
_cell_angle_gamma 90.00
loop_
_atom_site_label
_atom_site_fract_x
_atom_site_fract_y
_atom_site_fract_z
_atom_site_occupancy
Na1 0.2500 0.2500 0.2500 1
Tb1 0.0000 0.0000 0.0000 1
W1 0.0000 0.0000 0.5000 1
O1 0.0000 0.0000 0.2680 1
```

The 10 most intense peaks (10° ≤ 2θ ≤ 90°), by angle:
two_theta	I/Imax
21.23	100
30.20	99
37.21	11
43.23	34
48.65	43
53.64	40
62.80	21
67.09	20
71.25	18
87.14	22

Record 2
Structure and computed powder diffraction line list of Na5TbW4O16 (DFT lattice parameters and positions (GGA+U); Cu Kα, 1.54184 Å).
No peak broadening, texture or thermal motion is included.

```
data_Na5TbW4O16
_symmetry_space_group_name_H-M 'I 41/a'
_symmetry_Int_Tables_number 88
_cell_length_a 11.7305
_cell_length_b 11.7305
_cell_length_c 11.6178
_cell_angle_alpha 90.00
_cell_angle_beta 90.00
_cell_angle_gamma 90.00
loop_
_symmetry_equiv_pos_as_xyz
'x,y,z'
'-x,-y,-z'
'-y+3/4,x+1/4,z+1/4'
'y+3/4,-x+1/4,-z+1/4'
'-x+1/2,-y,z+1/2'
'x+1/2,y,-z+1/2'
'y+3/4,-x+3/4,z+3/4'
'-y+3/4,x+3/4,-z+3/4'
'x+1/2,y+1/2,z+1/2'
'-x+1/2,-y+1/2,-z+1/2'
'-y+1/4,x+3/4,z+3/4'
'y+1/4,-x+3/4,-z+3/4'
'-x,-y+1/2,z'
'x,y+1/2,-z'
'y+1/4,-x+1/4,z+1/4'
'-y+1/4,x+1/4,-z+1/4'
loop_
_atom_site_label
_atom_site_fract_x
_atom_site_fract_y
_atom_site_fract_z
_atom_site_occupancy
Na1 0.0000 0.2500 0.1250 1
Na2 0.1219 0.0454 0.8418 1
Tb1 0.0000 0.2500 0.6250 1
W1 0.0959 0.0688 0.3587 1
O1 0.0269 0.3994 0.2716 1
O2 0.0616 0.3630 0.7939 1
O3 0.0847 0.4329 0.5648 1
O4 0.1798 0.4671 0.9838 1
```

The 10 most intense peaks (10° ≤ 2θ ≤ 90°), by angle:
two_theta	I/Imax
10.72	29
18.56	58
24.01	17
28.55	100
28.65	17
30.78	12
34.18	19
46.66	23
53.37	11
57.80	22

Record 3
Structure and computed powder diffraction line list of NaVTeO5 (DFT lattice parameters and positions (GGA+U); Cu Kα, 1.54184 Å).
No peak broadening, texture or thermal motion is included.

```
data_NaVTeO5
_symmetry_space_group_name_H-M 'P 1 21/c 1'
_symmetry_Int_Tables_number 14
_cell_length_a 5.9375
_cell_length_b 11.7583
_cell_length_c 6.9138
_cell_angle_alpha 90.00
_cell_angle_beta 103.22
_cell_angle_gamma 90.00
loop_
_symmetry_equiv_pos_as_xyz
'x,y,z'
'-x,-y,-z'
'-x,y+1/2,-z+1/2'
'x,-y+1/2,z+1/2'
loop_
_atom_site_label
_atom_site_fract_x
_atom_site_fract_y
_atom_site_fract_z
_atom_site_occupancy
Na1 0.1669 0.2187 0.1800 1
V1 0.3365 0.6253 0.5873 1
Te1 0.2421 0.5589 0.0949 1
O1 0.1184 0.0913 0.5208 1
O2 0.1481 0.7152 0.6599 1
O3 0.1733 0.5562 0.3578 1
O4 0.4381 0.5211 0.7797 1
O5 0.4417 0.1999 0.9591 1
```

The 10 most intense peaks (10° ≤ 2θ ≤ 90°), by angle:
two_theta	I/Imax
15.13	77
17.09	35
19.34	37
26.31	29
27.48	100
30.94	22
31.46	16
33.74	25
35.15	18
40.39	16

Record 4
Structure and computed powder diffraction line list of Na6TeW6O46 (DFT lattice parameters and positions (GGA+U); Cu Kα, 1.54184 Å).
No peak broadening, texture or thermal motion is included.

```
data_Na6TeW6O46
_symmetry_space_group_name_H-M 'P -1'
_symmetry_Int_Tables_number 2
_cell_length_a 9.5045
_cell_length_b 9.7759
_cell_length_c 11.2338
_cell_angle_alpha 81.20
_cell_angle_beta 84.18
_cell_angle_gamma 69.68
loop_
_symmetry_equiv_pos_as_xyz
'x,y,z'
'-x,-y,-z'
loop_
_atom_site_label
_atom_site_fract_x
_atom_site_fract_y
_atom_site_fract_z
_atom_site_occupancy
Na1 0.1456 0.0710 0.4179 1
Na2 0.2972 0.0358 0.0797 1
Na3 0.3090 0.5564 0.7049 1
Te1 0.0000 0.5000 0.5000 1
W1 0.0228 0.3186 0.7855 1
W2 0.2865 0.3949 0.2857 1
W3 0.3050 0.2152 0.5743 1
O1 0.0123 0.7347 0.8516 1
O2 0.0288 0.4523 0.3343 1
O3 0.0381 0.3816 0.9199 1
O4 0.0418 0.1317 0.8284 1
O5 0.0446 0.1296 0.1596 1
O6 0.0499 0.2948 0.5721 1
O7 0.1324 0.8219 0.5865 1
O8 0.1942 0.6032 0.2327 1
O9 0.1973 0.7786 0.4805 1
O10 0.2212 0.4566 0.4888 1
O11 0.2329 0.3022 0.7236 1
O12 0.2849 0.3129 0.1564 1
O13 0.2886 0.7743 0.8911 1
O14 0.2972 0.0365 0.6117 1
O15 0.2974 0.2157 0.4006 1
O16 0.3062 0.6576 0.4861 1
O17 0.3355 0.8783 0.8815 1
O18 0.3539 0.9506 0.2907 1
O19 0.4132 0.2675 0.8822 1
O20 0.4522 0.1364 0.9439 1
O21 0.4735 0.3939 0.2893 1
O22 0.4807 0.6990 0.1814 1
O23 0.4993 0.2011 0.5858 1
```

The 10 most intense peaks (10° ≤ 2θ ≤ 90°), by angle:
two_theta	I/Imax
11.32	100
11.78	20
12.81	79
19.11	35
21.51	17
22.94	28
26.60	20
30.12	18
30.68	27
32.56	21